This entry pairs a crystal structure of CrPt with its computed X-ray powder pattern. Radiation: Cu Kα (λ = 1.5418 Å). Structure: the PBE geometry in the Materials Project.
No peak broadening, texture or thermal motion is included.

Most intense lines, 10° ≤ 2θ ≤ 90°, sorted by position:
2θ (°)  Rel. int.
20.4  60
39.1  36
40.9  100
41.5  32
47.8  64
52.4  16
69.5  20
70.2  20
73.3  13
84.3  25

```
2
Lattice="1.3529 0.7811 4.3558 -1.3529 0.7811 4.3558 0.0000 -1.5622 4.3558" Properties=species:S:1:pos:R:3 pbc="T T T"
Cr 0.0000 0.0000 0.0000
Pt 0.0000 0.0000 6.5337
```

***

This entry pairs a crystal structure of CrSbPt with its computed X-ray powder pattern. Radiation: Cu Kα (λ = 1.5418 Å). Structure: the PBE geometry in the Materials Project.
No peak broadening, texture or thermal motion is included.

Most intense lines, 10° ≤ 2θ ≤ 90°, sorted by position:
2θ (°)  Rel. int.
19.5  61
31.1  100
34.2  36
39.7  39
46.9  75
51.3  21
53.4  22
66.8  19
77.2  24
80.6  20

```
12
Lattice="6.4219 0.0000 0.0000 0.0000 6.4219 0.0000 0.0000 0.0000 6.4219" Properties=species:S:1:pos:R:3 pbc="T T T"
Cr 0.0548 0.0548 0.0548
Cr 3.1561 6.3671 3.2657
Cr 3.2657 3.1561 6.3671
Cr 6.3671 3.2657 3.1561
Sb 1.5250 4.7359 4.8969
Sb 1.6859 1.6859 1.6859
Sb 4.7359 4.8969 1.5250
Sb 4.8969 1.5250 4.7359
Pt 0.8519 5.5699 2.3590
Pt 2.3590 0.8519 5.5699
Pt 4.0629 4.0629 4.0629
Pt 5.5699 2.3590 0.8519
```

***

This entry pairs a crystal structure of RbCr5S8 with its computed X-ray powder pattern. Radiation: Cu Kα (λ = 1.5418 Å). Structure: the PBE geometry in the Materials Project.
No peak broadening, texture or thermal motion is included.

Most intense lines, 10° ≤ 2θ ≤ 90°, sorted by position:
2θ (°)  Rel. int.
20.3  50
21.0  39
32.4  45
33.0  100
34.1  48
40.7  59
45.8  35
47.1  49
52.1  39
52.5  69

```
14
Lattice="9.0386 -1.7553 0.0000 9.0386 1.7553 0.0000 -2.3478 0.0000 8.4672" Properties=species:S:1:pos:R:3 pbc="T T T"
Rb 0.0000 0.0000 0.0000
Cr 1.7582 0.0000 4.0170
Cr 1.7381 0.0000 7.0615
Cr 7.8647 0.0000 4.2336
Cr 13.9913 0.0000 1.4057
Cr 13.9712 0.0000 4.4502
S -0.1225 0.0000 5.4771
S 3.9218 0.0000 2.9129
S 5.8850 0.0000 0.1304
S 5.9198 0.0000 5.6586
S 9.8096 0.0000 2.8086
S 9.8445 0.0000 8.3368
S 11.8076 0.0000 5.5543
S 15.8520 0.0000 2.9901
```